Structure and simulated powder diffractogram of Dy5YHo3 (a DFT-relaxed cell (GGA-PBE, Alexandria); Cu Kα).
Peak positions follow from Bragg's law for the DFT cell and can differ from measured ones.

Crystal structure
```
data_Dy5YHo3
_cell_length_a 9.2606
_cell_length_b 9.2606
_cell_length_c 11.0220
_cell_angle_alpha 126.39
_cell_angle_beta 126.39
_cell_angle_gamma 55.97
_space_group_name_H-M_alt 'P 1'
_space_group_IT_number 1
_space_group_name_Hall 'P 1'
loop_
_atom_site_label
_atom_site_fract_x
_atom_site_fract_y
_atom_site_fract_z
_atom_site_occupancy
Dy1 0.1018 0.5347 0.8028 1
Dy2 0.2362 0.7638 0.7500 1
Dy3 0.2821 0.5240 0.4244 1
Dy4 0.4653 0.8982 0.6972 1
Dy5 0.4760 0.7179 0.0756 1
Dy6 0.5240 0.2821 0.9244 1
Dy7 0.5347 0.1018 0.3028 1
Dy8 0.7179 0.4760 0.5756 1
Dy9 0.7638 0.2362 0.2500 1
Dy10 0.8982 0.4653 0.1972 1
Y1 0.3278 0.6722 0.2500 1
Y2 0.6722 0.3278 0.7500 1
Ho1 0.0000 0.0000 0.0000 1
Ho2 0.0000 0.0000 0.5000 1
Ho3 0.1852 0.2498 0.9687 1
Ho4 0.2498 0.1852 0.4687 1
Ho5 0.7502 0.8148 0.5313 1
Ho6 0.8148 0.7502 0.0313 1
```

Main lines, by intensity (2θ from 10° to 90°):
2θ 30.06, d = 2.973 Å, I 100.0; 2θ 32.49, d = 2.755 Å, I 49.6; 2θ 29.29, d = 3.049 Å, I 37.7; 2θ 32.34, d = 2.768 Å, I 23.7; 2θ 31.30, d = 2.858 Å, I 20.1; 2θ 33.79, d = 2.653 Å, I 18.9

***

Structure and simulated powder diffractogram of Dy8Y3Ho2 (a DFT-relaxed cell (GGA-PBE, Alexandria); Cu Kα).
Peak positions follow from Bragg's law for the DFT cell and can differ from measured ones.

Crystal structure
```
data_Dy8Y3Ho2
_cell_length_a 10.7865
_cell_length_b 10.7865
_cell_length_c 5.6057
_cell_angle_alpha 90.00
_cell_angle_beta 90.00
_cell_angle_gamma 138.69
_space_group_name_H-M_alt 'P 1'
_space_group_IT_number 1
_space_group_name_Hall 'P 1'
loop_
_atom_site_label
_atom_site_fract_x
_atom_site_fract_y
_atom_site_fract_z
_atom_site_occupancy
Dy1 0.1338 0.8662 0.0000 1
Dy2 0.1802 0.3979 0.5000 1
Dy3 0.3319 0.6681 0.0000 1
Dy4 0.3979 0.1802 0.5000 1
Dy5 0.6021 0.8198 0.5000 1
Dy6 0.6681 0.3319 0.0000 1
Dy7 0.8198 0.6021 0.5000 1
Dy8 0.8662 0.1338 0.0000 1
Y1 0.0000 0.0000 0.5000 1
Y2 0.2847 0.2847 0.0000 1
Y3 0.7153 0.7153 0.0000 1
Ho1 0.2416 0.7584 0.5000 1
Ho2 0.7584 0.2416 0.5000 1
```

Main lines, by intensity (2θ from 10° to 90°):
2θ 33.55, d = 2.671 Å, I 100.0; 2θ 31.93, d = 2.803 Å, I 41.6; 2θ 31.00, d = 2.885 Å, I 36.1; 2θ 29.69, d = 3.009 Å, I 27.5; 2θ 25.01, d = 3.560 Å, I 22.4; 2θ 57.94, d = 1.592 Å, I 20.9

***

Structure and simulated powder diffractogram of Dy2Y7Ho (a DFT-relaxed cell (GGA-PBE, Alexandria); Cu Kα).
Peak positions follow from Bragg's law for the DFT cell and can differ from measured ones.

Crystal structure
```
data_Dy2Y7Ho
_cell_length_a 15.1688
_cell_length_b 15.1688
_cell_length_c 3.5057
_cell_angle_alpha 90.08
_cell_angle_beta 90.08
_cell_angle_gamma 156.52
_space_group_name_H-M_alt 'P 1'
_space_group_IT_number 1
_space_group_name_Hall 'P 1'
loop_
_atom_site_label
_atom_site_fract_x
_atom_site_fract_y
_atom_site_fract_z
_atom_site_occupancy
Dy1 0.1916 0.8084 0.0000 1
Dy2 0.8084 0.1916 0.0000 1
Y1 0.1543 0.3544 0.7322 1
Y2 0.2926 0.7074 0.5000 1
Y3 0.3544 0.1543 0.7322 1
Y4 0.5000 0.5000 0.0000 1
Y5 0.6456 0.8457 0.2678 1
Y6 0.7074 0.2926 0.5000 1
Y7 0.8457 0.6456 0.2678 1
Ho1 0.0000 0.0000 0.5000 1
```

Main lines, by intensity (2θ from 10° to 90°):
2θ 30.77, d = 2.906 Å, I 100.0; 2θ 30.09, d = 2.970 Å, I 95.1; 2θ 31.38, d = 2.850 Å, I 67.9; 2θ 34.23, d = 2.619 Å, I 66.4; 2θ 36.36, d = 2.471 Å, I 51.7; 2θ 30.60, d = 2.921 Å, I 50.6

***

Structure and simulated powder diffractogram of Dy2Y4Ho7 (a DFT-relaxed cell (GGA-PBE, Alexandria); Cu Kα).
Peak positions follow from Bragg's law for the DFT cell and can differ from measured ones.

Crystal structure
```
data_Dy2Y4Ho7
_cell_length_a 6.1319
_cell_length_b 7.8924
_cell_length_c 9.3788
_cell_angle_alpha 65.15
_cell_angle_beta 89.74
_cell_angle_gamma 82.52
_space_group_name_H-M_alt 'P 1'
_space_group_IT_number 1
_space_group_name_Hall 'P 1'
loop_
_atom_site_label
_atom_site_fract_x
_atom_site_fract_y
_atom_site_fract_z
_atom_site_occupancy
Dy1 0.1528 0.0776 0.1157 1
Dy2 0.8472 0.9224 0.8843 1
Y1 0.3081 0.1549 0.7317 1
Y2 0.4614 0.2324 0.3455 1
Y3 0.5386 0.7676 0.6545 1
Y4 0.6919 0.8451 0.2683 1
Ho1 0.0000 0.0000 0.5000 1
Ho2 0.0771 0.5386 0.8084 1
Ho3 0.2292 0.6162 0.4231 1
Ho4 0.3831 0.6920 0.0388 1
Ho5 0.6169 0.3080 0.9612 1
Ho6 0.7708 0.3838 0.5769 1
Ho7 0.9229 0.4614 0.1916 1
```

Main lines, by intensity (2θ from 10° to 90°):
2θ 30.94, d = 2.890 Å, I 100.0; 2θ 35.96, d = 2.498 Å, I 33.4; 2θ 51.59, d = 1.772 Å, I 23.9; 2θ 61.50, d = 1.508 Å, I 17.5; 2θ 35.72, d = 2.514 Å, I 17.0; 2θ 61.22, d = 1.514 Å, I 14.2

***

Structure and simulated powder diffractogram of Dy2Y5Ho6 (a DFT-relaxed cell (GGA-PBE, Alexandria); Cu Kα).
Peak positions follow from Bragg's law for the DFT cell and can differ from measured ones.

Crystal structure
```
data_Dy2Y5Ho6
_cell_length_a 11.5827
_cell_length_b 20.1997
_cell_length_c 3.5759
_cell_angle_alpha 90.00
_cell_angle_beta 90.00
_cell_angle_gamma 90.00
_space_group_name_H-M_alt 'P 1'
_space_group_IT_number 1
_space_group_name_Hall 'P 1'
loop_
_atom_site_label
_atom_site_fract_x
_atom_site_fract_y
_atom_site_fract_z
_atom_site_occupancy
Dy1 0.1675 0.2106 0.0000 1
Dy2 0.3325 0.7106 0.0000 1
Dy3 0.6675 0.2894 0.0000 1
Dy4 0.8325 0.7894 0.0000 1
Y1 0.0000 0.5000 0.5000 1
Y2 0.0897 0.7741 0.5000 1
Y3 0.1978 0.0514 0.5000 1
Y4 0.3022 0.5514 0.5000 1
Y5 0.4103 0.2741 0.5000 1
Y6 0.5000 0.0000 0.5000 1
Y7 0.5897 0.7259 0.5000 1
Y8 0.6978 0.4486 0.5000 1
Y9 0.8022 0.9486 0.5000 1
Y10 0.9103 0.2259 0.5000 1
Ho1 0.0609 0.9198 0.0000 1
Ho2 0.0826 0.6323 0.0000 1
Ho3 0.1719 0.3644 0.5000 1
Ho4 0.3281 0.8644 0.5000 1
Ho5 0.4174 0.1323 0.0000 1
Ho6 0.4391 0.4198 0.0000 1
Ho7 0.5609 0.5802 0.0000 1
Ho8 0.5826 0.8677 0.0000 1
Ho9 0.6719 0.1356 0.5000 1
Ho10 0.8281 0.6356 0.5000 1
Ho11 0.9174 0.3677 0.0000 1
Ho12 0.9391 0.0802 0.0000 1
```

Main lines, by intensity (2θ from 10° to 90°):
2θ 32.29, d = 2.773 Å, I 100.0; 2θ 31.96, d = 2.800 Å, I 63.6; 2θ 31.20, d = 2.866 Å, I 63.4; 2θ 31.62, d = 2.830 Å, I 48.6; 2θ 27.57, d = 3.235 Å, I 40.8; 2θ 34.41, d = 2.606 Å, I 36.2

***

Structure and simulated powder diffractogram of Dy5YHo7 (a DFT-relaxed cell (GGA-PBE, Alexandria); Cu Kα).
Peak positions follow from Bragg's law for the DFT cell and can differ from measured ones.

Crystal structure
```
data_Dy5YHo7
_cell_length_a 8.6485
_cell_length_b 8.6485
_cell_length_c 8.6485
_cell_angle_alpha 134.84
_cell_angle_beta 100.13
_cell_angle_gamma 96.84
_space_group_name_H-M_alt 'P 1'
_space_group_IT_number 1
_space_group_name_Hall 'P 1'
loop_
_atom_site_label
_atom_site_fract_x
_atom_site_fract_y
_atom_site_fract_z
_atom_site_occupancy
Dy1 0.0000 0.0000 0.0000 1
Dy2 0.2285 0.2685 0.4953 1
Dy3 0.2285 0.7331 0.9600 1
Dy4 0.7732 0.2685 0.0400 1
Dy5 0.7732 0.7331 0.5047 1
Y1 0.1972 0.6972 0.5000 1
Ho1 0.0767 0.2494 0.8273 1
Ho2 0.4220 0.2494 0.1727 1
Ho3 0.4947 0.4947 0.0000 1
Ho4 0.5068 0.0068 0.5000 1
Ho5 0.5809 0.7486 0.8323 1
Ho6 0.8103 0.3103 0.5000 1
Ho7 0.9164 0.7486 0.1677 1
```

Main lines, by intensity (2θ from 10° to 90°):
2θ 31.14, d = 2.872 Å, I 100.0; 2θ 35.16, d = 2.552 Å, I 92.7; 2θ 31.77, d = 2.817 Å, I 77.4; 2θ 31.40, d = 2.849 Å, I 52.4; 2θ 35.94, d = 2.499 Å, I 33.3; 2θ 58.06, d = 1.589 Å, I 32.6

***

Structure and simulated powder diffractogram of Dy3Y12Ho (a DFT-relaxed cell (GGA-PBE, Alexandria); Cu Kα).
Peak positions follow from Bragg's law for the DFT cell and can differ from measured ones.

Crystal structure
```
data_Dy3Y12Ho
_cell_length_a 5.0399
_cell_length_b 5.0399
_cell_length_c 20.1566
_cell_angle_alpha 90.00
_cell_angle_beta 90.00
_cell_angle_gamma 90.00
_space_group_name_H-M_alt 'P 1'
_space_group_IT_number 1
_space_group_name_Hall 'P 1'
loop_
_atom_site_label
_atom_site_fract_x
_atom_site_fract_y
_atom_site_fract_z
_atom_site_occupancy
Dy1 0.0000 0.0000 0.0000 1
Dy2 0.0000 0.0000 0.2501 1
Dy3 0.0000 0.0000 0.7499 1
Y1 0.0000 0.5000 0.1251 1
Y2 0.0000 0.5000 0.3752 1
Y3 0.0000 0.5000 0.6248 1
Y4 0.0000 0.5000 0.8749 1
Y5 0.5000 0.0000 0.1251 1
Y6 0.5000 0.0000 0.3752 1
Y7 0.5000 0.0000 0.6248 1
Y8 0.5000 0.0000 0.8749 1
Y9 0.5000 0.5000 0.0000 1
Y10 0.5000 0.5000 0.2501 1
Y11 0.5000 0.5000 0.5000 1
Y12 0.5000 0.5000 0.7499 1
Ho1 0.0000 0.0000 0.5000 1
```

Main lines, by intensity (2θ from 10° to 90°):
2θ 30.73, d = 2.910 Å, I 100.0; 2θ 35.63, d = 2.520 Å, I 50.2; 2θ 60.97, d = 1.520 Å, I 41.1; 2θ 51.27, d = 1.782 Å, I 35.0; 2θ 83.64, d = 1.156 Å, I 16.6; 2θ 86.33, d = 1.127 Å, I 15.5

***

Structure and simulated powder diffractogram of Dy3YHo5 (a DFT-relaxed cell (GGA-PBE, Alexandria); Cu Kα).
Peak positions follow from Bragg's law for the DFT cell and can differ from measured ones.

Crystal structure
```
data_Dy3YHo5
_cell_length_a 9.2696
_cell_length_b 9.2696
_cell_length_c 11.0053
_cell_angle_alpha 126.39
_cell_angle_beta 126.39
_cell_angle_gamma 55.94
_space_group_name_H-M_alt 'P 1'
_space_group_IT_number 1
_space_group_name_Hall 'P 1'
loop_
_atom_site_label
_atom_site_fract_x
_atom_site_fract_y
_atom_site_fract_z
_atom_site_occupancy
Dy1 0.0000 0.0000 0.0000 1
Dy2 0.0000 0.0000 0.5000 1
Dy3 0.1868 0.2500 0.4677 1
Dy4 0.2500 0.1868 0.9677 1
Dy5 0.7500 0.8132 0.0323 1
Dy6 0.8132 0.7500 0.5323 1
Y1 0.3278 0.6722 0.7500 1
Y2 0.6722 0.3278 0.2500 1
Ho1 0.1015 0.5364 0.8347 1
Ho2 0.2364 0.7636 0.2500 1
Ho3 0.2830 0.5244 0.3834 1
Ho4 0.4636 0.8985 0.6653 1
Ho5 0.4756 0.7170 0.1166 1
Ho6 0.5244 0.2830 0.8834 1
Ho7 0.5364 0.1015 0.3347 1
Ho8 0.7170 0.4756 0.6166 1
Ho9 0.7636 0.2364 0.7500 1
Ho10 0.8985 0.4636 0.1653 1
```

Main lines, by intensity (2θ from 10° to 90°):
2θ 30.06, d = 2.973 Å, I 100.0; 2θ 32.54, d = 2.751 Å, I 49.9; 2θ 29.27, d = 3.051 Å, I 35.9; 2θ 32.31, d = 2.771 Å, I 24.8; 2θ 31.29, d = 2.859 Å, I 20.2; 2θ 33.75, d = 2.656 Å, I 19.8

***

Structure and simulated powder diffractogram of Dy5Y5Ho (a DFT-relaxed cell (GGA-PBE, Alexandria); Cu Kα).
Peak positions follow from Bragg's law for the DFT cell and can differ from measured ones.

Crystal structure
```
data_Dy5Y5Ho
_cell_length_a 6.8376
_cell_length_b 6.8562
_cell_length_c 8.5995
_cell_angle_alpha 74.77
_cell_angle_beta 75.37
_cell_angle_gamma 70.06
_space_group_name_H-M_alt 'P 1'
_space_group_IT_number 1
_space_group_name_Hall 'P 1'
loop_
_atom_site_label
_atom_site_fract_x
_atom_site_fract_y
_atom_site_fract_z
_atom_site_occupancy
Dy1 0.0000 0.0000 0.0000 1
Dy2 0.2729 0.3478 0.7270 1
Dy3 0.3546 0.8534 0.6363 1
Dy4 0.6454 0.1466 0.3637 1
Dy5 0.7271 0.6522 0.2730 1
Y1 0.1479 0.2249 0.2735 1
Y2 0.1882 0.6811 0.3649 1
Y3 0.5000 0.5000 0.0000 1
Y4 0.8118 0.3189 0.6351 1
Y5 0.8521 0.7751 0.7265 1
Ho1 0.5000 0.0000 0.0000 1
```

Main lines, by intensity (2θ from 10° to 90°):
2θ 32.28, d = 2.773 Å, I 100.0; 2θ 31.92, d = 2.804 Å, I 73.4; 2θ 32.56, d = 2.750 Å, I 66.9; 2θ 32.15, d = 2.784 Å, I 45.1; 2θ 32.92, d = 2.721 Å, I 32.3; 2θ 46.21, d = 1.965 Å, I 26.5

***

Structure and simulated powder diffractogram of Dy4Y3Ho2 (a DFT-relaxed cell (GGA-PBE, Alexandria); Cu Kα).
Peak positions follow from Bragg's law for the DFT cell and can differ from measured ones.

Crystal structure
```
data_Dy4Y3Ho2
_cell_length_a 9.9366
_cell_length_b 9.9366
_cell_length_c 6.1280
_cell_angle_alpha 94.78
_cell_angle_beta 94.78
_cell_angle_gamma 71.13
_space_group_name_H-M_alt 'P 1'
_space_group_IT_number 1
_space_group_name_Hall 'P 1'
loop_
_atom_site_label
_atom_site_fract_x
_atom_site_fract_y
_atom_site_fract_z
_atom_site_occupancy
Dy1 0.0951 0.8119 0.9859 1
Dy2 0.1452 0.4292 0.1527 1
Dy3 0.1881 0.9049 0.5141 1
Dy4 0.4292 0.1452 0.6527 1
Dy5 0.5708 0.8548 0.3473 1
Dy6 0.8119 0.0951 0.4859 1
Dy7 0.8548 0.5708 0.8473 1
Dy8 0.9049 0.1881 0.0141 1
Y1 0.0692 0.2646 0.5816 1
Y2 0.2646 0.0692 0.0816 1
Y3 0.4021 0.5979 0.2500 1
Y4 0.5979 0.4021 0.7500 1
Y5 0.7354 0.9308 0.9184 1
Y6 0.9308 0.7354 0.4184 1
Ho1 0.2390 0.5213 0.6814 1
Ho2 0.4787 0.7610 0.8186 1
Ho3 0.5213 0.2390 0.1814 1
Ho4 0.7610 0.4787 0.3186 1
```

Main lines, by intensity (2θ from 10° to 90°):
2θ 31.90, d = 2.805 Å, I 100.0; 2θ 31.06, d = 2.879 Å, I 64.0; 2θ 30.29, d = 2.951 Å, I 58.7; 2θ 30.95, d = 2.890 Å, I 48.5; 2θ 37.59, d = 2.393 Å, I 41.4; 2θ 28.53, d = 3.129 Å, I 22.7

***

Structure and simulated powder diffractogram of Dy5Y2Ho3 (a DFT-relaxed cell (GGA-PBE, Alexandria); Cu Kα).
Peak positions follow from Bragg's law for the DFT cell and can differ from measured ones.

Crystal structure
```
data_Dy5Y2Ho3
_cell_length_a 9.4118
_cell_length_b 9.4118
_cell_length_c 9.5213
_cell_angle_alpha 108.28
_cell_angle_beta 108.28
_cell_angle_gamma 111.36
_space_group_name_H-M_alt 'P 1'
_space_group_IT_number 1
_space_group_name_Hall 'P 1'
loop_
_atom_site_label
_atom_site_fract_x
_atom_site_fract_y
_atom_site_fract_z
_atom_site_occupancy
Dy1 0.0195 0.9805 0.7500 1
Dy2 0.1391 0.3940 0.7842 1
Dy3 0.2762 0.7238 0.2500 1
Dy4 0.3940 0.1391 0.2842 1
Dy5 0.4738 0.5262 0.2500 1
Dy6 0.5262 0.4738 0.7500 1
Dy7 0.6060 0.8609 0.7158 1
Dy8 0.7238 0.2762 0.7500 1
Dy9 0.8609 0.6060 0.2158 1
Dy10 0.9805 0.0195 0.2500 1
Y1 0.2202 0.4670 0.4539 1
Y2 0.4670 0.2202 0.9539 1
Y3 0.5330 0.7798 0.0461 1
Y4 0.7798 0.5330 0.5461 1
Ho1 0.0128 0.2695 0.0484 1
Ho2 0.2269 0.7731 0.7500 1
Ho3 0.2695 0.0128 0.5484 1
Ho4 0.7305 0.9872 0.4516 1
Ho5 0.7731 0.2269 0.2500 1
Ho6 0.9872 0.7305 0.9516 1
```

Main lines, by intensity (2θ from 10° to 90°):
2θ 30.67, d = 2.915 Å, I 100.0; 2θ 30.44, d = 2.937 Å, I 83.9; 2θ 33.78, d = 2.653 Å, I 42.0; 2θ 32.29, d = 2.772 Å, I 19.3; 2θ 67.04, d = 1.396 Å, I 19.2; 2θ 61.11, d = 1.517 Å, I 18.9

***

Structure and simulated powder diffractogram of Dy5YHo4 (a DFT-relaxed cell (GGA-PBE, Alexandria); Cu Kα).
Peak positions follow from Bragg's law for the DFT cell and can differ from measured ones.

Crystal structure
```
data_Dy5YHo4
_cell_length_a 7.8339
_cell_length_b 7.8339
_cell_length_c 10.1612
_cell_angle_alpha 130.36
_cell_angle_beta 130.36
_cell_angle_gamma 47.10
_space_group_name_H-M_alt 'P 1'
_space_group_IT_number 1
_space_group_name_Hall 'P 1'
loop_
_atom_site_label
_atom_site_fract_x
_atom_site_fract_y
_atom_site_fract_z
_atom_site_occupancy
Dy1 0.0000 0.0000 0.0000 1
Dy2 0.4998 0.0339 0.9132 1
Dy3 0.5868 0.1210 0.6210 1
Dy4 0.8790 0.4132 0.3790 1
Dy5 0.9661 0.5002 0.0868 1
Y1 0.4592 0.5408 0.0000 1
Ho1 0.1829 0.7197 0.6038 1
Ho2 0.2803 0.8171 0.3962 1
Ho3 0.5792 0.1160 0.2991 1
Ho4 0.8840 0.4208 0.7009 1
```

Main lines, by intensity (2θ from 10° to 90°):
2θ 29.99, d = 2.980 Å, I 100.0; 2θ 34.91, d = 2.570 Å, I 58.5; 2θ 27.76, d = 3.214 Å, I 57.2; 2θ 28.52, d = 3.130 Å, I 35.1; 2θ 40.22, d = 2.242 Å, I 32.9; 2θ 31.17, d = 2.870 Å, I 31.9